Entry 1:
Calculated X-ray powder pattern
Compound: CeSe2
Radiation: λ = 1.5418 Å (Cu Kα)
Structure: the PBE geometry in the Materials Project
Neutral-atom scattering factors, no anomalous dispersion.

Most intense lines, 5 to 70 degrees two-theta, sorted by position:
Position (°2θ)	d/Å	I_rel
13.30	6.657	100
13.61	6.506	59
13.85	6.396	55
17.18	5.161	59
17.49	5.071	31
18.97	4.678	20
22.65	3.926	31
28.44	3.138	24
37.01	2.429	24
39.84	2.262	21

Structure:
```
24
Lattice="13.800 0.000 0.000 0.000 7.841 0.000 -8.419 0.000 13.295" Properties=species:S:1:pos:R:3 pbc="T T T"
Ce -1.143 1.814 4.578
Ce -5.352 2.107 11.226
Ce -0.917 0.228 9.555
Ce 3.293 3.693 2.908
Ce 2.088 4.148 10.388
Ce 6.297 7.613 3.740
Ce 10.733 5.734 2.070
Ce 6.523 6.028 8.717
Se -5.444 4.109 9.395
Se -1.235 7.652 2.748
Se -1.762 0.750 7.009
Se 2.447 3.170 0.362
Se -2.848 0.985 11.320
Se 1.362 2.936 4.672
Se -0.251 5.423 9.841
Se 3.958 6.338 3.194
Se 1.423 1.503 10.102
Se 5.632 2.418 3.454
Se 4.019 4.905 8.623
Se 8.228 6.856 1.976
Se 2.934 4.671 12.934
Se 7.143 7.091 6.286
Se 6.616 0.189 10.548
Se 10.825 3.732 3.900
```



Entry 2:
Calculated X-ray powder pattern
Compound: Gd3GaNiSe7
Radiation: λ = 1.5418 Å (Cu Kα)
Structure: the PBE geometry in the Materials Project
Neutral-atom scattering factors, no anomalous dispersion.

Most intense lines, 5 to 70 degrees two-theta, sorted by position:
Position (°2θ)	d/Å	I_rel
24.52	3.630	100
30.29	2.951	74
32.86	2.726	32
33.64	2.665	89
34.45	2.603	98
35.45	2.532	96
38.90	2.315	41
39.57	2.277	39
43.58	2.077	36
46.96	1.935	48

Structure:
```
24
Lattice="10.117 0.000 0.000 0.000 6.468 0.000 -5.051 0.000 8.784" Properties=species:S:1:pos:R:3 pbc="T T T"
Gd -0.438 6.467 2.999
Gd 2.249 3.231 1.119
Gd -0.154 3.234 6.273
Gd 5.219 0.000 2.511
Gd 2.816 6.466 7.665
Gd 5.503 3.233 5.784
Ga -2.524 0.520 7.321
Ga 7.589 3.754 1.463
Ni 2.533 1.139 4.392
Ni 2.532 4.373 4.392
Se -4.533 1.499 8.241
Se -2.316 1.499 5.113
Se -2.523 4.578 7.320
Se 0.720 2.697 3.515
Se 2.384 5.931 2.386
Se 0.868 5.930 5.527
Se -0.721 1.499 8.606
Se 5.787 4.733 0.178
Se 4.197 2.696 3.257
Se 2.681 2.697 6.398
Se 4.345 5.931 5.269
Se 7.589 1.344 1.463
Se 7.381 4.733 3.671
Se 9.598 4.733 0.543
```



Entry 3:
Calculated X-ray powder pattern
Compound: Ba3LiTi3O8
Radiation: λ = 1.5418 Å (Cu Kα)
Structure: the PBE geometry in the Materials Project
Neutral-atom scattering factors, no anomalous dispersion.

Most intense lines, 5 to 70 degrees two-theta, sorted by position:
Position (°2θ)	d/Å	I_rel
19.94	4.454	17
23.22	3.831	14
27.57	3.235	13
30.60	2.922	22
30.80	2.903	100
35.66	2.518	12
38.78	2.322	16
47.61	1.910	15
47.73	1.906	9
54.52	1.683	19

Structure:
```
15
Lattice="5.844 0.000 0.000 -2.918 5.141 0.000 -0.012 -1.756 7.676" Properties=species:S:1:pos:R:3 pbc="T T T"
Ba 0.000 0.000 0.000
Ba -0.008 1.559 3.475
Ba 2.908 -0.108 5.646
Li 2.918 2.129 1.085
Ti -0.020 1.648 6.931
Ti 2.923 -0.246 2.301
Ti 2.918 3.175 4.292
O -1.382 2.517 0.043
O -1.487 2.584 5.494
O -1.494 4.174 3.073
O 1.389 2.529 0.030
O 2.920 -0.049 0.420
O 1.497 2.600 5.479
O 2.929 1.520 2.967
O 1.513 4.177 3.058
```



Entry 4:
Calculated X-ray powder pattern
Compound: SmCo12
Radiation: λ = 1.5418 Å (Cu Kα)
Structure: the PBE geometry in the Materials Project
Neutral-atom scattering factors, no anomalous dispersion.

Most intense lines, 5 to 70 degrees two-theta, sorted by position:
Position (°2θ)	d/Å	I_rel
23.93	3.719	9
31.31	2.857	11
40.43	2.231	30
42.69	2.118	100
43.00	2.104	10
44.28	2.046	31
52.27	1.750	7
56.23	1.636	12
61.50	1.508	16
63.43	1.467	6

Structure:
```
13
Lattice="-4.462 4.462 2.046 4.462 -4.462 2.046 4.462 4.462 -2.046" Properties=species:S:1:pos:R:3 pbc="T T T"
Sm 0.000 0.000 0.000
Co 3.330 0.000 0.000
Co 5.594 0.000 0.000
Co 1.913 1.913 0.000
Co 2.549 -2.549 2.046
Co 4.462 2.387 0.000
Co 0.000 3.330 0.000
Co 2.387 4.462 0.000
Co 2.075 0.000 2.046
Co 0.000 5.594 0.000
Co 0.000 2.075 2.046
Co -2.549 2.549 2.046
Co 2.549 2.549 2.046
```